Entry 1:
Starting from a GGA-PBE-relaxed structure, the powder X-ray diffraction pattern of Na4MgBi2O6 was simulated for Cu Kα (weighted mean of Kα1 and Kα2).

Atomic structure:
Unit cell a=6.332 b=6.332 c=6.329 alpha=101.91 beta=101.91 gamma=117.37
Element x y z (fractional)
Na (0.000, 0.000, 0.000)
Na (0.347, 0.638, 0.059)
Na (0.626, 0.626, 0.542)
Na (0.638, 0.347, 0.059)
Mg (0.195, 0.195, 0.462)
Bi (0.190, 0.791, 0.579)
Bi (0.791, 0.190, 0.579)
O (0.167, 0.456, 0.354)
O (0.249, 0.249, 0.791)
O (0.456, 0.167, 0.354)
O (0.615, 0.974, 0.792)
O (0.853, 0.853, 0.327)
O (0.974, 0.615, 0.792)

Peak list (12 most intense, 5 to 70 degrees two-theta, sorted by position)
2θ (°)  d_spacing  I_rel
15.25  5.809  100
16.39  5.410  36
22.46  3.959  46
29.57  3.021  22
29.80  2.998  29
30.78  2.905  20
32.04  2.794  27
33.24  2.696  26
33.99  2.638  22
35.52  2.528  39
37.27  2.413  19
44.46  2.038  24

Entry 2:
Starting from a GGA-PBE-relaxed structure, the powder X-ray diffraction pattern of Na2MgBi2O6 was simulated for Cu Kα (weighted mean of Kα1 and Kα2).

Atomic structure:
Unit cell a=5.678 b=6.131 c=6.259 alpha=86.83 beta=64.22 gamma=64.69
Element x y z (fractional)
Na (0.000, 0.000, 0.000)
Na (0.331, 0.405, 0.766)
Mg (0.665, 0.821, 0.726)
Bi (0.183, 0.369, 0.334)
Bi (0.522, 0.721, 0.328)
O (0.100, 0.705, 0.561)
O (0.405, 0.032, 0.575)
O (0.421, 0.954, 0.074)
O (0.601, 0.402, 0.136)
O (0.671, 0.534, 0.583)
O (0.980, 0.631, 0.126)

Peak list (12 most intense, 5 to 70 degrees two-theta, sorted by position)
2θ (°)  d_spacing  I_rel
15.93  5.563  100
16.20  5.471  28
18.91  4.693  29
19.43  4.569  22
28.66  3.115  38
29.59  3.019  23
30.61  2.921  24
31.54  2.837  32
31.93  2.803  28
35.16  2.553  51
41.32  2.185  20
47.12  1.929  27

Entry 3:
Starting from a GGA-PBE-relaxed structure, the powder X-ray diffraction pattern of Na4MgBi2O6 was simulated for Cu Kα (weighted mean of Kα1 and Kα2).

Atomic structure:
Unit cell a=6.024 b=6.024 c=6.160 alpha=100.33 beta=100.33 gamma=117.87
Element x y z (fractional)
Na (0.000, 0.000, 0.000)
Na (0.448, 0.869, 0.041)
Na (0.574, 0.574, 0.649)
Na (0.869, 0.448, 0.041)
Mg (0.468, 0.468, 0.184)
Bi (0.246, 0.911, 0.543)
Bi (0.911, 0.246, 0.543)
O (0.029, 0.658, 0.763)
O (0.223, 0.534, 0.331)
O (0.298, 0.298, 0.841)
O (0.534, 0.223, 0.331)
O (0.658, 0.029, 0.763)
O (0.801, 0.801, 0.247)

Peak list (12 most intense, 5 to 70 degrees two-theta, sorted by position)
2θ (°)  d_spacing  I_rel
15.34  5.776  100
17.47  5.076  34
19.48  4.557  29
23.11  3.848  28
29.13  3.066  33
30.17  2.963  55
30.66  2.916  40
30.97  2.888  25
31.41  2.848  47
35.35  2.539  41
36.45  2.465  63
39.55  2.279  32

Entry 4:
Starting from a GGA-PBE-relaxed structure, the powder X-ray diffraction pattern of NaMg14BiO16 was simulated for Cu Kα (weighted mean of Kα1 and Kα2).

Atomic structure:
Unit cell a=8.721 b=8.721 c=4.405 alpha=90.00 beta=90.00 gamma=90.00
Element x y z (fractional)
Na (0.000, 0.000, 0.000)
Mg (0.000, 0.244, 0.500)
Mg (0.000, 0.500, 0.000)
Mg (0.000, 0.756, 0.500)
Mg (0.233, 0.500, 0.500)
Mg (0.238, 0.238, 0.000)
Mg (0.238, 0.762, 0.000)
Mg (0.244, 0.000, 0.500)
Mg (0.500, 0.000, 0.000)
Mg (0.500, 0.233, 0.500)
Mg (0.500, 0.767, 0.500)
Mg (0.756, 0.000, 0.500)
Mg (0.762, 0.238, 0.000)
Mg (0.762, 0.762, 0.000)
Mg (0.767, 0.500, 0.500)
Bi (0.500, 0.500, 0.000)
O (0.000, 0.000, 0.500)
O (0.000, 0.263, 0.000)
O (0.000, 0.500, 0.500)
O (0.000, 0.737, 0.000)
O (0.235, 0.500, 0.000)
O (0.252, 0.252, 0.500)
O (0.252, 0.748, 0.500)
O (0.263, 0.000, 0.000)
O (0.500, 0.000, 0.500)
O (0.500, 0.235, 0.000)
O (0.500, 0.500, 0.500)
O (0.500, 0.765, 0.000)
O (0.737, 0.000, 0.000)
O (0.748, 0.252, 0.500)
O (0.748, 0.748, 0.500)
O (0.765, 0.500, 0.000)

Peak list (12 most intense, 5 to 70 degrees two-theta, sorted by position)
2θ (°)  d_spacing  I_rel
10.14  8.721  100
14.36  6.167  43
20.37  4.361  27
22.61  3.932  41
22.80  3.900  41
24.84  3.584  31
30.62  2.920  47
35.54  2.526  43
40.98  2.202  50
41.41  2.180  93
59.67  1.549  56
60.01  1.542  27

Entry 5:
Starting from a GGA-PBE-relaxed structure, the powder X-ray diffraction pattern of NaMg6BiO8 was simulated for Cu Kα (weighted mean of Kα1 and Kα2).

Atomic structure:
Unit cell a=4.471 b=4.471 c=8.906 alpha=90.00 beta=90.00 gamma=90.00
Element x y z (fractional)
Na (0.000, 0.000, 0.000)
Mg (0.000, 0.000, 0.500)
Mg (0.000, 0.500, 0.266)
Mg (0.000, 0.500, 0.734)
Mg (0.500, 0.000, 0.266)
Mg (0.500, 0.000, 0.734)
Mg (0.500, 0.500, 0.500)
Bi (0.500, 0.500, 0.000)
O (0.000, 0.000, 0.270)
O (0.000, 0.000, 0.730)
O (0.000, 0.500, 0.000)
O (0.000, 0.500, 0.500)
O (0.500, 0.000, 0.000)
O (0.500, 0.000, 0.500)
O (0.500, 0.500, 0.270)
O (0.500, 0.500, 0.730)

Peak list (12 most intense, 5 to 70 degrees two-theta, sorted by position)
2θ (°)  d_spacing  I_rel
9.93  8.906  100
19.88  4.465  92
22.25  3.996  94
28.27  3.157  79
29.99  2.979  46
34.80  2.578  60
40.35  2.235  83
40.51  2.227  38
41.70  2.166  33
45.38  1.999  31
46.55  1.951  29
58.51  1.578  48

Entry 6:
Starting from a GGA-PBE-relaxed structure, the powder X-ray diffraction pattern of Na5MgBiO5 was simulated for Cu Kα (weighted mean of Kα1 and Kα2).

Atomic structure:
Unit cell a=5.592 b=5.946 c=6.785 alpha=73.93 beta=86.15 gamma=67.05
Element x y z (fractional)
Na (0.000, 0.000, 0.000)
Na (0.048, 0.928, 0.555)
Na (0.259, 0.337, 0.713)
Na (0.440, 0.663, 0.296)
Na (0.586, 0.776, 0.836)
Mg (0.618, 0.041, 0.279)
Bi (0.079, 0.414, 0.172)
O (0.035, 0.670, 0.866)
O (0.385, 0.052, 0.054)
O (0.398, 0.047, 0.519)
O (0.726, 0.342, 0.166)
O (0.964, 0.744, 0.325)

Peak list (12 most intense, 5 to 70 degrees two-theta, sorted by position)
2θ (°)  d_spacing  I_rel
13.60  6.513  100
16.83  5.267  20
17.24  5.144  47
18.55  4.783  39
18.88  4.701  43
21.51  4.131  20
24.46  3.639  19
33.92  2.642  20
34.08  2.631  24
36.17  2.483  23
37.61  2.392  18
38.26  2.353  19